Entry 1:
This entry pairs a crystal structure of SmIn7Cu5 with its calculated powder diffractogram. Radiation: Cu Kα X-rays. Structure: a structure optimized by DFT (PBE).
Kinematic intensities with the Lorentz-polarization factor, no thermal factor.

Principal peaks in the range 5 to 70 degrees two-theta, sorted by position:
31.94°, rel. 32; 32.57°, rel. 65; 37.30°, rel. 50; 37.84°, rel. 100; 38.02°, rel. 47; 42.06°, rel. 49; 42.55°, rel. 17; 42.72°, rel. 19; 57.32°, rel. 13; 60.87°, rel. 24; 68.22°, rel. 25; 68.57°, rel. 26

Cell: 7.256 7.256 7.256 Å, 134.58 98.62 98.53°
Sites, in units of the cell vectors:
Sm: 0.000 0.000 0.000
In: 0.213 0.511 0.701
In: 0.329 0.987 0.342
In: 0.334 0.334 0.000
In: 0.646 0.987 0.658
In: 0.657 0.657 0.000
In: 0.774 0.274 0.500
In: 0.810 0.511 0.299
Cu: 0.007 0.003 0.509
Cu: 0.007 0.498 0.004
Cu: 0.224 0.724 0.500
Cu: 0.495 0.003 0.996
Cu: 0.495 0.498 0.491

=====

Entry 2:
This entry pairs a crystal structure of CaPmPt2 with its calculated powder diffractogram. Radiation: Cu Kα X-rays. Structure: a structure optimized by DFT (PBE).
Kinematic intensities with the Lorentz-polarization factor, no thermal factor.

Principal peaks in the range 5 to 70 degrees two-theta, sorted by position:
21.74°, rel. 8; 25.16°, rel. 14; 35.88°, rel. 100; 42.34°, rel. 4; 44.32°, rel. 4; 51.65°, rel. 18; 56.68°, rel. 2; 58.29°, rel. 6; 64.48°, rel. 36; 68.92°, rel. 1

Cell: 7.079 7.079 7.079 Å, 90.00 90.00 90.00°
Sites, in units of the cell vectors:
Ca: 0.000 0.000 0.000
Ca: 0.000 0.500 0.500
Ca: 0.500 0.000 0.500
Ca: 0.500 0.500 0.000
Pm: 0.000 0.000 0.500
Pm: 0.000 0.500 0.000
Pm: 0.500 0.000 0.000
Pm: 0.500 0.500 0.500
Pt: 0.250 0.250 0.250
Pt: 0.250 0.250 0.750
Pt: 0.250 0.750 0.250
Pt: 0.250 0.750 0.750
Pt: 0.750 0.250 0.250
Pt: 0.750 0.250 0.750
Pt: 0.750 0.750 0.250
Pt: 0.750 0.750 0.750

=====

Entry 3:
This entry pairs a crystal structure of Tb4Zn5Ge6 with its calculated powder diffractogram. Radiation: Cu Kα X-rays. Structure: a structure optimized by DFT (PBE).
Kinematic intensities with the Lorentz-polarization factor, no thermal factor.

Principal peaks in the range 5 to 70 degrees two-theta, sorted by position:
30.58°, rel. 26; 31.17°, rel. 51; 32.00°, rel. 47; 32.50°, rel. 47; 33.97°, rel. 50; 36.34°, rel. 100; 39.43°, rel. 27; 40.46°, rel. 43; 42.37°, rel. 74; 46.43°, rel. 23; 52.34°, rel. 30; 69.51°, rel. 26

Cell: 9.503 9.503 15.847 Å, 90.00 90.00 154.05°
Sites, in units of the cell vectors:
Tb: 0.033 0.967 0.500
Tb: 0.033 0.967 0.770
Tb: 0.172 0.828 0.955
Tb: 0.180 0.820 0.313
Tb: 0.820 0.180 0.813
Tb: 0.828 0.172 0.455
Tb: 0.967 0.033 0.000
Tb: 0.967 0.033 0.270
Zn: 0.147 0.853 0.639
Zn: 0.290 0.710 0.643
Zn: 0.344 0.656 0.998
Zn: 0.425 0.575 0.717
Zn: 0.431 0.569 0.553
Zn: 0.569 0.431 0.053
Zn: 0.575 0.425 0.217
Zn: 0.656 0.344 0.498
Zn: 0.710 0.290 0.143
Zn: 0.853 0.147 0.139
Ge: 0.116 0.884 0.135
Ge: 0.212 0.788 0.777
Ge: 0.224 0.776 0.499
Ge: 0.430 0.570 0.395
Ge: 0.432 0.568 0.871
Ge: 0.441 0.559 0.135
Ge: 0.559 0.441 0.635
Ge: 0.568 0.432 0.371
Ge: 0.570 0.430 0.895
Ge: 0.776 0.224 0.999
Ge: 0.788 0.212 0.277
Ge: 0.884 0.116 0.635

=====

Entry 4:
This entry pairs a crystal structure of Li8TiO6 with its calculated powder diffractogram. Radiation: Cu Kα X-rays. Structure: a structure optimized by DFT (PBE).
Kinematic intensities with the Lorentz-polarization factor, no thermal factor.

Principal peaks in the range 5 to 70 degrees two-theta, sorted by position:
16.23°, rel. 20; 18.28°, rel. 67; 24.54°, rel. 100; 31.94°, rel. 38; 32.81°, rel. 34; 33.00°, rel. 42; 40.68°, rel. 24; 46.44°, rel. 16; 52.63°, rel. 18; 53.79°, rel. 17; 56.92°, rel. 38; 67.27°, rel. 16

Cell: 5.604 5.604 10.920 Å, 90.00 90.00 120.00°
Sites, in units of the cell vectors:
Li: 0.000 0.317 0.000
Li: 0.000 0.395 0.360
Li: 0.000 0.605 0.860
Li: 0.000 0.683 0.500
Li: 0.317 0.000 0.000
Li: 0.317 0.317 0.500
Li: 0.333 0.667 0.139
Li: 0.333 0.667 0.639
Li: 0.395 0.000 0.360
Li: 0.395 0.395 0.860
Li: 0.605 0.000 0.860
Li: 0.605 0.605 0.360
Li: 0.667 0.333 0.139
Li: 0.667 0.333 0.639
Li: 0.683 0.000 0.500
Li: 0.683 0.683 0.000
Ti: 0.000 0.000 0.227
Ti: 0.000 0.000 0.727
O: 0.000 0.000 0.398
O: 0.000 0.000 0.898
O: 0.000 0.313 0.181
O: 0.000 0.687 0.681
O: 0.313 0.000 0.181
O: 0.313 0.313 0.681
O: 0.333 0.667 0.448
O: 0.333 0.667 0.948
O: 0.667 0.333 0.448
O: 0.667 0.333 0.948
O: 0.687 0.000 0.681
O: 0.687 0.687 0.181

=====

Entry 5:
This entry pairs a crystal structure of TmMnIn with its calculated powder diffractogram. Radiation: Cu Kα X-rays. Structure: a structure optimized by DFT (PBE).
Kinematic intensities with the Lorentz-polarization factor, no thermal factor.

Principal peaks in the range 5 to 70 degrees two-theta, sorted by position:
21.61°, rel. 21; 33.81°, rel. 100; 37.90°, rel. 63; 44.04°, rel. 3; 51.68°, rel. 30; 52.79°, rel. 8; 57.69°, rel. 3; 59.47°, rel. 3; 65.85°, rel. 28; 66.80°, rel. 23; 68.45°, rel. 11

Cell: 4.748 4.748 3.468 Å, 90.00 90.00 120.00°
Sites, in units of the cell vectors:
Tm: 0.000 0.000 0.000
Mn: 0.333 0.667 0.500
In: 0.667 0.333 0.500

=====

Entry 6:
This entry pairs a crystal structure of KHo2Cu3Se5 with its calculated powder diffractogram. Radiation: Cu Kα X-rays. Structure: a structure optimized by DFT (PBE).
Kinematic intensities with the Lorentz-polarization factor, no thermal factor.

Principal peaks in the range 5 to 70 degrees two-theta, sorted by position:
10.47°, rel. 80; 12.30°, rel. 86; 13.37°, rel. 63; 28.64°, rel. 100; 29.15°, rel. 99; 30.57°, rel. 82; 31.78°, rel. 78; 35.80°, rel. 93; 38.20°, rel. 67; 39.35°, rel. 58; 44.18°, rel. 77; 47.65°, rel. 66

Cell: 7.482 7.482 16.897 Å, 90.00 90.00 148.20°
Sites, in units of the cell vectors:
K: 0.062 0.938 0.750
K: 0.938 0.062 0.250
Ho: 0.192 0.808 0.093
Ho: 0.192 0.808 0.407
Ho: 0.808 0.192 0.593
Ho: 0.808 0.192 0.907
Cu: 0.341 0.659 0.750
Cu: 0.416 0.584 0.031
Cu: 0.416 0.584 0.469
Cu: 0.584 0.416 0.531
Cu: 0.584 0.416 0.969
Cu: 0.659 0.341 0.250
Se: 0.166 0.834 0.572
Se: 0.166 0.834 0.928
Se: 0.251 0.749 0.250
Se: 0.441 0.559 0.619
Se: 0.441 0.559 0.881
Se: 0.559 0.441 0.119
Se: 0.559 0.441 0.381
Se: 0.749 0.251 0.750
Se: 0.834 0.166 0.072
Se: 0.834 0.166 0.428